Structure and simulated PXRD pattern of CsSbC6Cl5 (a DFT-relaxed cell (GGA-PBE, the Materials Project); CuKα).
Kinematic intensities with the Lorentz-polarization factor, no thermal factor.

Cell and atoms:
abc: 7.4719 12.9666 7.5170
angles: 90.00 90.00 90.00
Space group Pmn2_1 (No. 31)
Inequivalent atoms, fractional coordinates:
Cs 0.0000 0.0009 0.0000
Sb 0.0000 0.2078 0.5002
C 0.0000 0.3751 0.5025
C 0.0000 0.5671 0.5172
C 0.1400 0.4441 0.5089
C 0.1751 0.5446 0.5162
Cl 0.0000 0.0151 0.5010
Cl 0.2309 0.1997 0.2712
Cl 0.2316 0.2004 0.7293

Principal peaks in the range 10° ≤ 2θ ≤ 80°, in order of rising 2θ:
- 2θ = 13.6°, d = 6.489 Å, intensity 100, hkl 1 1 0
- 2θ = 18.1°, d = 4.905 Å, intensity 42, hkl 1 1 1
- 2θ = 21.7°, d = 4.103 Å, intensity 46, hkl 1 2 1
- 2θ = 26.6°, d = 3.349 Å, intensity 36, hkl 1 3 1
- 2θ = 27.5°, d = 3.248 Å, intensity 50, hkl 0 4 0
- 2θ = 27.5°, d = 3.238 Å, intensity 24, hkl 2 2 0
- 2θ = 33.8°, d = 2.650 Å, intensity 51, hkl 2 0 2
- 2θ = 34.6°, d = 2.595 Å, intensity 51, hkl 0 5 0
- 2θ = 44.1°, d = 2.053 Å, intensity 22, hkl 2 4 2
- 2θ = 49.2°, d = 1.853 Å, intensity 31, hkl 2 5 2